[1]
Be6Hg: calculated X-ray powder pattern (Cu Kα, 1.54184 Å), based on a DFT-relaxed cell (GGA-PBE, Alexandria).
Peak positions follow from Bragg's law for the DFT cell and can differ from measured ones.

Most intense lines, 5° ≤ 2θ ≤ 70°, in order of falling intensity:
Position (°2θ)  I_rel  index
21.32  1000  1 1 0
37.37  650  2 1 1
58.60  356  3 2 1
30.33  283  2 0 0
48.86  243  3 1 0
43.42  170  2 2 0
67.41  141  4 1 1
53.88  47  2 2 2
63.09  44  4 0 0

Atomic structure:
a b c (Å): 5.8941 5.8941 5.8941
angles (deg): 90.00 90.00 90.00
Space group Im-3m (No. 229)
Inequivalent atoms, fractional coordinates:
Be 0.0000 0.2500 0.5000
Hg 0.0000 0.0000 0.0000

[2]
Be2Hg: calculated X-ray powder pattern (Cu Kα, 1.54184 Å), based on a DFT-relaxed cell (GGA-PBE, Alexandria).
Peak positions follow from Bragg's law for the DFT cell and can differ from measured ones.

Most intense lines, 5° ≤ 2θ ≤ 70°, in order of falling intensity:
Position (°2θ)  I_rel  index
10.70  1000  0 0 1
22.32  689  2 0 0
25.31  560  2 0 1
36.95  482  1 1 -1
42.15  376  1 1 2
32.49  364  0 0 3
30.36  304  2 0 -2
49.23  250  3 1 -1
41.51  247  1 1 -2
37.30  226  1 1 1

Atomic structure:
a b c (Å): 7.9778 2.6711 8.2784
angles (deg): 90.00 92.92 90.00
Space group C2/m (No. 12)
Inequivalent atoms, fractional coordinates:
Be 0.0472 0.0000 0.3753
Be 0.1649 0.5000 0.5683
Hg 0.2081 0.5000 0.1608